Entry 1:
The following is a computed PXRD pattern of CaMn2Si4O12. It was derived from a crystal structure in Alexandria, relaxed with GGA+U, using Cu Kα (λ = 1.5418 Å).

Structural model:
```
CaMn2Si4O12
1.0
4.9585 -4.5059 0.0000
4.9585 4.5059 0.0000
-1.7055 0.0000 5.0207
Ca Mn Si O
1 2 4 12
Direct
0.0000 0.0000 0.0000 Ca
0.5823 0.4177 0.0000 Mn
0.7841 0.2159 0.5000 Mn
0.0764 0.5037 0.9792 Si
0.3140 0.1086 0.5300 Si
0.4963 0.9236 0.0208 Si
0.8914 0.6860 0.4700 Si
0.0274 0.6729 0.2439 O
0.0446 0.6460 0.7545 O
0.0791 0.1921 0.4374 O
0.2989 0.3951 0.0401 O
0.3271 0.9726 0.7561 O
0.3540 0.9554 0.2455 O
0.5010 0.2722 0.6294 O
0.6049 0.7011 0.9599 O
0.6685 0.1081 0.1225 O
0.7278 0.4990 0.3706 O
0.8079 0.9209 0.5626 O
0.8919 0.3315 0.8775 O
```

Principal peaks in the range 10° ≤ 2θ ≤ 90°, in order of rising 2θ:
two_theta, I (rel.)
13.62, 53
19.75, 48
29.21, 100
30.23, 48
34.53, 25
35.77, 29
36.10, 36
41.34, 16
41.54, 17
41.97, 14
55.58, 14
66.23, 14

---

Entry 2:
The following is a computed PXRD pattern of CaSmMn4O12. It was derived from a crystal structure in Alexandria, relaxed with GGA+U, using Cu Kα (λ = 1.5418 Å).

Structural model:
```
CaSmMn4O12
1.0
5.3289 0.0000 0.0000
0.0000 5.3289 0.0000
0.0000 0.0000 7.5544
Ca Sm Mn O
1 1 4 12
Direct
0.0000 0.0000 0.0000 Ca
0.5000 0.5000 0.5000 Sm
0.0000 0.5000 0.2473 Mn
0.0000 0.5000 0.7527 Mn
0.5000 0.0000 0.2473 Mn
0.5000 0.0000 0.7527 Mn
0.0000 0.5000 0.0000 O
0.0000 0.5000 0.5000 O
0.2553 0.2553 0.2597 O
0.2553 0.2553 0.7403 O
0.2553 0.7447 0.2597 O
0.2553 0.7447 0.7403 O
0.5000 0.0000 0.0000 O
0.5000 0.0000 0.5000 O
0.7447 0.2553 0.2597 O
0.7447 0.2553 0.7403 O
0.7447 0.7447 0.2597 O
0.7447 0.7447 0.7403 O
```

Principal peaks in the range 10° ≤ 2θ ≤ 90°, in order of rising 2θ:
two_theta, I (rel.)
11.71, 19
16.64, 18
20.39, 72
23.59, 12
26.43, 12
33.61, 100
39.63, 38
48.18, 17
48.31, 34
52.92, 16
60.10, 37
70.65, 27

---

Entry 3:
The following is a computed PXRD pattern of CaSmMn2O6. It was derived from a crystal structure in Alexandria, relaxed with GGA+U, using Cu Kα (λ = 1.5418 Å).

Structural model:
```
CaSmMn2O6
1.0
7.6297 0.0000 0.0000
0.0000 5.5507 0.0000
0.0000 0.0000 5.4083
Ca Sm Mn O
2 2 4 12
Direct
0.0000 0.2005 0.0000 Ca
0.5000 0.7995 0.5000 Ca
0.0000 0.6959 0.4764 Sm
0.5000 0.3041 0.9764 Sm
0.2498 0.2468 0.4891 Mn
0.2502 0.7532 0.9891 Mn
0.7502 0.2468 0.4891 Mn
0.7498 0.7532 0.9891 Mn
0.0000 0.2747 0.5726 O
0.0000 0.7732 0.9016 O
0.2053 0.9549 0.2847 O
0.2057 0.4600 0.1993 O
0.2943 0.5400 0.6993 O
0.2947 0.0451 0.7847 O
0.5000 0.2268 0.4016 O
0.5000 0.7253 0.0726 O
0.7053 0.0451 0.7847 O
0.7057 0.5400 0.6993 O
0.7943 0.4600 0.1993 O
0.7947 0.9549 0.2847 O
```

Principal peaks in the range 10° ≤ 2θ ≤ 90°, in order of rising 2θ:
two_theta, I (rel.)
19.78, 26
20.13, 29
32.25, 22
32.95, 100
33.13, 25
38.90, 17
46.91, 27
47.68, 16
48.52, 11
57.96, 11
59.07, 23
69.12, 13

---

Entry 4:
The following is a computed PXRD pattern of CaSm4Ti2Mn2O12. It was derived from a crystal structure in Alexandria, relaxed with GGA+U, using Cu Kα (λ = 1.5418 Å).

Structural model:
```
CaSm4Ti2Mn2O12
1.0
5.9346 0.0000 0.0000
0.8997 6.1963 0.0000
0.3958 -0.0411 7.5969
Ca Sm Ti Mn O
1 4 2 2 12
Direct
0.0000 0.0000 0.0000 Ca
0.1738 0.1410 0.5881 Sm
0.2607 0.3418 0.1493 Sm
0.5716 0.7817 0.0999 Sm
0.5842 0.6291 0.5992 Sm
0.0689 0.7275 0.3632 Ti
0.6008 0.2007 0.8342 Ti
0.0570 0.5970 0.8143 Mn
0.7365 0.1933 0.3633 Mn
0.1929 0.0052 0.2695 O
0.1983 0.7696 0.6023 O
0.3269 0.0745 0.8853 O
0.4122 0.5730 0.3078 O
0.4249 0.5166 0.8975 O
0.5116 0.2662 0.5797 O
0.6462 0.1502 0.1100 O
0.7515 0.8531 0.3920 O
0.7589 0.8484 0.8120 O
0.8985 0.3142 0.7937 O
0.9673 0.4158 0.4197 O
0.9922 0.6559 0.0979 O
```

Principal peaks in the range 10° ≤ 2θ ≤ 90°, in order of rising 2θ:
two_theta, I (rel.)
22.21, 33
22.32, 54
22.96, 38
23.42, 47
28.82, 36
30.48, 43
31.09, 100
31.24, 57
31.90, 96
33.22, 51
35.71, 35
46.17, 48

---

Entry 5:
The following is a computed PXRD pattern of Ca2SmYMn4O12. It was derived from a crystal structure in Alexandria, relaxed with GGA+U, using Cu Kα (λ = 1.5418 Å).

Structural model:
```
Ca2SmYMn4O12
1.0
5.3823 0.0000 0.0000
0.0000 7.6019 0.0000
-0.0168 0.0000 5.5562
Ca Sm Y Mn O
2 1 1 4 12
Direct
0.0000 0.0000 0.0000 Ca
0.4999 0.5000 0.3972 Ca
0.5251 0.0000 0.5067 Sm
0.0267 0.5000 0.8880 Y
0.0109 0.2514 0.4454 Mn
0.0109 0.7486 0.4454 Mn
0.5120 0.2513 0.9527 Mn
0.5120 0.7487 0.9527 Mn
0.0998 0.0000 0.4239 O
0.2111 0.3002 0.1491 O
0.2111 0.6998 0.1491 O
0.3017 0.2968 0.6598 O
0.3017 0.7032 0.6598 O
0.4270 0.0000 0.9258 O
0.6113 0.5000 0.9741 O
0.7121 0.2056 0.2470 O
0.7121 0.7944 0.2470 O
0.8027 0.2058 0.7410 O
0.8027 0.7942 0.7410 O
0.9256 0.5000 0.4821 O
```

Principal peaks in the range 10° ≤ 2θ ≤ 90°, in order of rising 2θ:
two_theta, I (rel.)
19.79, 17
20.22, 20
25.86, 14
32.22, 22
33.05, 100
33.29, 24
39.04, 13
46.93, 14
47.09, 14
47.86, 17
59.34, 24
59.55, 11

---

Entry 6:
The following is a computed PXRD pattern of Sr2Ca6Mn8O23. It was derived from a crystal structure in Alexandria, relaxed with GGA+U, using Cu Kα (λ = 1.5418 Å).

Structural model:
```
Sr2Ca6Mn8O23
1.0
7.6196 0.0000 0.0000
0.0000 7.8059 0.0000
0.0000 0.0000 7.5645
Sr Ca Mn O
2 6 8 23
Direct
0.0000 0.2427 0.0000 Sr
0.0000 0.7573 0.0000 Sr
0.0000 0.2436 0.4904 Ca
0.0000 0.7564 0.4904 Ca
0.5000 0.2440 0.4800 Ca
0.5000 0.2474 0.0056 Ca
0.5000 0.7526 0.0056 Ca
0.5000 0.7560 0.4800 Ca
0.2504 0.0000 0.7421 Mn
0.2495 0.5000 0.2475 Mn
0.2525 0.0000 0.2469 Mn
0.2651 0.5000 0.7353 Mn
0.7349 0.5000 0.7353 Mn
0.7475 0.0000 0.2469 Mn
0.7496 0.0000 0.7421 Mn
0.7505 0.5000 0.2475 Mn
0.0000 0.0000 0.2929 O
0.0000 0.0000 0.6881 O
0.0000 0.5000 0.1933 O
0.1828 0.5000 0.4973 O
0.2087 0.0000 0.9943 O
0.2300 0.2550 0.7399 O
0.2300 0.7450 0.7399 O
0.2581 0.2498 0.2509 O
0.2581 0.7502 0.2509 O
0.2953 0.5000 0.9897 O
0.3086 0.0000 0.4959 O
0.5000 0.0000 0.1928 O
0.5000 0.0000 0.7998 O
0.5000 0.5000 0.2987 O
0.5000 0.5000 0.6692 O
0.6914 0.0000 0.4959 O
0.7047 0.5000 0.9897 O
0.7419 0.2498 0.2509 O
0.7419 0.7502 0.2509 O
0.7700 0.2550 0.7399 O
0.7700 0.7450 0.7399 O
0.7913 0.0000 0.9943 O
0.8172 0.5000 0.4973 O
```

Principal peaks in the range 10° ≤ 2θ ≤ 90°, in order of rising 2θ:
two_theta, I (rel.)
32.85, 85
32.98, 76
33.38, 100
46.54, 43
47.74, 33
48.12, 33
58.47, 36
59.25, 34
59.49, 35
68.88, 19
69.17, 18
70.12, 15

---

Entry 7:
The following is a computed PXRD pattern of SrCa3Mn4O12. It was derived from a crystal structure in Alexandria, relaxed with GGA+U, using Cu Kα (λ = 1.5418 Å).

Structural model:
```
SrCa3Mn4O12
1.0
5.3844 0.0000 0.0000
0.0000 7.6297 0.0000
-0.0026 0.0000 5.4252
Sr Ca Mn O
1 3 4 12
Direct
0.0000 0.0000 0.0000 Sr
0.0131 0.5000 0.0743 Ca
0.4974 0.5000 0.5677 Ca
0.5134 0.0000 0.4871 Ca
0.0040 0.2523 0.5314 Mn
0.0040 0.7477 0.5314 Mn
0.5059 0.2530 0.0287 Mn
0.5059 0.7470 0.0287 Mn
0.0796 0.0000 0.5290 O
0.2139 0.2911 0.8175 O
0.2139 0.7089 0.8175 O
0.2926 0.2923 0.3151 O
0.2926 0.7077 0.3151 O
0.4509 0.0000 0.0505 O
0.5825 0.5000 0.0027 O
0.7103 0.2129 0.7350 O
0.7103 0.7871 0.7350 O
0.7897 0.2236 0.2446 O
0.7897 0.7764 0.2446 O
0.9286 0.5000 0.5157 O
```

Principal peaks in the range 10° ≤ 2θ ≤ 90°, in order of rising 2θ:
two_theta, I (rel.)
23.29, 7
33.02, 25
33.18, 100
33.28, 24
39.17, 7
47.59, 38
47.68, 21
59.08, 16
59.22, 11
59.40, 34
69.65, 18
79.44, 11

---

Entry 8:
The following is a computed PXRD pattern of SrCa3Mn4O12. It was derived from a crystal structure in Alexandria, relaxed with GGA+U, using Cu Kα (λ = 1.5418 Å).

Structural model:
```
SrCa3Mn4O12
1.0
7.6503 0.0000 0.0000
0.0000 7.6503 0.0000
0.0000 0.0000 3.8256
Sr Ca Mn O
1 3 4 12
Direct
0.0000 0.0000 0.0000 Sr
0.0000 0.5000 0.0000 Ca
0.5000 0.0000 0.0000 Ca
0.5000 0.5000 0.0000 Ca
0.2514 0.2514 0.5000 Mn
0.2514 0.7486 0.5000 Mn
0.7486 0.2514 0.5000 Mn
0.7486 0.7486 0.5000 Mn
0.0000 0.2566 0.5000 O
0.0000 0.7434 0.5000 O
0.2518 0.5000 0.5000 O
0.2540 0.2540 0.0000 O
0.2540 0.7460 0.0000 O
0.2566 0.0000 0.5000 O
0.5000 0.2518 0.5000 O
0.5000 0.7482 0.5000 O
0.7434 0.0000 0.5000 O
0.7460 0.2540 0.0000 O
0.7460 0.7460 0.0000 O
0.7482 0.5000 0.5000 O
```

Principal peaks in the range 10° ≤ 2θ ≤ 90°, in order of rising 2θ:
two_theta, I (rel.)
11.57, 4
16.39, 2
23.25, 6
26.04, 4
33.12, 100
35.19, 3
40.86, 9
47.54, 48
59.16, 36
69.50, 26
79.18, 15
88.55, 8